# 1
KTlSbAu: computed powder diffractogram (Cu Ka), based on a PBE-relaxed structure.
No peak broadening, texture or thermal motion is included.

Cell and atoms:
a = 8.3003 Å, b = 4.7800 Å, c = 7.1908 Å
α = 90.00°, β = 112.65°, γ = 90.00°
Fractional positions:
K 0.0000 0.0000 0.0000
K 0.5000 0.5000 0.0000
Tl 0.2880 0.5000 0.3628
Tl 0.7880 0.0000 0.3628
Sb 0.0516 0.5000 0.6536
Sb 0.5516 0.0000 0.6536
Au 0.2037 0.0000 0.6093
Au 0.7037 0.5000 0.6093

Peak list (10 most intense, 10 to 90 degrees two-theta, sorted by position)
| 2θ (°) | I (rel.) |
| --- | --- |
| 13.34 | 100 |
| 23.25 | 41 |
| 28.01 | 44 |
| 31.15 | 88 |
| 37.59 | 78 |
| 38.38 | 16 |
| 40.05 | 43 |
| 49.59 | 24 |
| 56.66 | 28 |
| 68.86 | 17 |

# 2
KUSb2Au2: computed powder diffractogram (Cu Ka), based on a PBE-relaxed structure.
No peak broadening, texture or thermal motion is included.

Cell and atoms:
a = 4.6705 Å, b = 4.6705 Å, c = 9.2533 Å
α = 90.00°, β = 90.00°, γ = 120.00°
Fractional positions:
K 0.0000 0.0000 0.0000
U 0.0000 0.0000 0.5000
Sb 0.3333 0.6667 0.7298
Sb 0.6667 0.3333 0.2702
Au 0.3333 0.6667 0.3287
Au 0.6667 0.3333 0.6713

Peak list (10 most intense, 10 to 90 degrees two-theta, sorted by position)
| 2θ (°) | I (rel.) |
| --- | --- |
| 29.33 | 100 |
| 36.64 | 39 |
| 38.55 | 67 |
| 39.81 | 25 |
| 49.18 | 29 |
| 54.24 | 13 |
| 54.53 | 11 |
| 64.18 | 35 |
| 68.50 | 13 |
| 69.75 | 12 |